Record 1
Theoretical X-ray powder pattern
Compound: NdGd2Co2B2N3
Radiation: Cu Kα, 1.54184 Å
Structure: the PBE geometry in OQMD

Top 6 peaks for 2θ = 15–90°, by intensity:
2θ/deg	I_rel
28.45	100
35.77	87
33.69	67
51.47	59
40.16	34
36.90	33

Atomic structure:
```
data_NdGd2Co2B2N3
_symmetry_space_group_name_H-M 'P 1'
_symmetry_Int_Tables_number 1
_cell_length_a 10.350
_cell_length_b 10.350
_cell_length_c 10.350
_cell_angle_alpha 160.25
_cell_angle_beta 160.25
_cell_angle_gamma 28.08
loop_
_symmetry_equiv_pos_as_xyz
'x,y,z'
loop_
_atom_site_label
_atom_site_fract_x
_atom_site_fract_y
_atom_site_fract_z
_atom_site_occupancy
Nd1 0.000 0.000 0.000 1
Gd1 0.373 0.373 0.000 1
Gd2 0.627 0.627 0.000 1
Co1 0.250 0.750 0.500 1
Co2 0.750 0.250 0.500 1
B1 0.197 0.197 0.000 1
B2 0.803 0.803 0.000 1
N1 0.122 0.122 0.000 1
N2 0.500 0.500 0.000 1
N3 0.878 0.878 0.000 1
```

---

Record 2
Theoretical X-ray powder pattern
Compound: TbGd2Co2B2N3
Radiation: Cu Kα, 1.54184 Å
Structure: the PBE geometry in OQMD

Top 6 peaks for 2θ = 15–90°, by intensity:
2θ/deg	I_rel
28.80	100
36.17	89
34.08	76
52.13	60
37.37	38
65.10	33

Atomic structure:
```
data_TbGd2Co2B2N3
_symmetry_space_group_name_H-M 'P 1'
_symmetry_Int_Tables_number 1
_cell_length_a 10.248
_cell_length_b 10.248
_cell_length_c 10.248
_cell_angle_alpha 160.30
_cell_angle_beta 160.30
_cell_angle_gamma 28.01
loop_
_symmetry_equiv_pos_as_xyz
'x,y,z'
loop_
_atom_site_label
_atom_site_fract_x
_atom_site_fract_y
_atom_site_fract_z
_atom_site_occupancy
Tb1 0.000 0.000 0.000 1
Gd1 0.375 0.375 0.000 1
Gd2 0.625 0.625 0.000 1
Co1 0.250 0.750 0.500 1
Co2 0.750 0.250 0.500 1
B1 0.194 0.194 0.000 1
B2 0.806 0.806 0.000 1
N1 0.119 0.119 0.000 1
N2 0.500 0.500 0.000 1
N3 0.881 0.881 0.000 1
```

---

Record 3
Theoretical X-ray powder pattern
Compound: GdY2Co2B2N3
Radiation: Cu Kα, 1.54184 Å
Structure: the PBE geometry in OQMD

Top 6 peaks for 2θ = 15–90°, by intensity:
2θ/deg	I_rel
28.95	100
34.19	83
37.63	73
36.03	60
52.57	43
45.87	42

Atomic structure:
```
data_GdY2Co2B2N3
_symmetry_space_group_name_H-M 'P 1'
_symmetry_Int_Tables_number 1
_cell_length_a 10.270
_cell_length_b 10.270
_cell_length_c 10.270
_cell_angle_alpha 160.48
_cell_angle_beta 160.48
_cell_angle_gamma 27.74
loop_
_symmetry_equiv_pos_as_xyz
'x,y,z'
loop_
_atom_site_label
_atom_site_fract_x
_atom_site_fract_y
_atom_site_fract_z
_atom_site_occupancy
Gd1 0.000 0.000 0.000 1
Y1 0.376 0.376 0.000 1
Y2 0.624 0.624 0.000 1
Co1 0.250 0.750 0.500 1
Co2 0.750 0.250 0.500 1
B1 0.194 0.194 0.000 1
B2 0.806 0.806 0.000 1
N1 0.119 0.119 0.000 1
N2 0.500 0.500 0.000 1
N3 0.881 0.881 0.000 1
```